# 1
This entry pairs a crystal structure of LiNbTe3O12 with its theoretical X-ray diffraction stick pattern. Radiation: Cu Kα. Structure: DFT lattice parameters and positions (PBE).
Lines closer than 0.1° are merged.

Peak list (10 most intense, 2θ = 10–80°, by intensity)
20.60 deg, d = 4.312 Å, rel. 100.0, (1 1 0); 19.81 deg, d = 4.483 Å, rel. 48.9, (0 1 1); 32.23 deg, d = 2.777 Å, rel. 33.5, (1 2 -1); 32.35 deg, d = 2.767 Å, rel. 31.7, (1 2 1); 35.46 deg, d = 2.531 Å, rel. 18.6, (0 3 1); 40.21 deg, d = 2.243 Å, rel. 15.0, (1 1 -2); 51.46 deg, d = 1.776 Å, rel. 14.0, (2 3 -1); 51.63 deg, d = 1.770 Å, rel. 13.7, (2 3 1); 40.41 deg, d = 2.232 Å, rel. 12.8, (1 1 2); 34.25 deg, d = 2.618 Å, rel. 10.8, (0 0 2)

Crystal structure
a = 4.9685 Å, b = 8.6761 Å, c = 5.2356 Å
α = 90.00°, β = 90.36°, γ = 90.00°
Space group P2 (No. 3)
Unique sites:
1 Li 0.0000 0.0000 0.0000 (multiplicity 1)
2 Nb 0.0000 0.3859 0.0000 (multiplicity 1)
3 Te 0.0000 0.1957 0.5000 (multiplicity 1)
4 Te 0.5000 0.6930 0.0000 (multiplicity 1)
5 Te 0.5000 0.8820 0.5000 (multiplicity 1)
6 O 0.1951 0.1947 0.8153 (multiplicity 2)
7 O 0.2118 0.3490 0.3190 (multiplicity 2)
8 O 0.2425 0.0276 0.3566 (multiplicity 2)
9 O 0.2578 0.5386 0.8779 (multiplicity 2)
10 O 0.2848 0.8581 0.8171 (multiplicity 2)
11 O 0.2916 0.7190 0.3139 (multiplicity 2)

# 2
This entry pairs a crystal structure of LiHoSn with its theoretical X-ray diffraction stick pattern. Radiation: Cu Kα. Structure: DFT lattice parameters and positions (PBE).
Lines closer than 0.1° are merged.

Peak list (10 most intense, 2θ = 10–80°, by intensity)
33.04 deg, d = 2.711 Å, rel. 100.0, (2 0 2); 38.48 deg, d = 2.339 Å, rel. 53.2, (2 2 0); 25.14 deg, d = 3.542 Å, rel. 41.4, (2 0 1); 21.94 deg, d = 4.052 Å, rel. 26.6, (2 0 0); 51.61 deg, d = 1.771 Å, rel. 26.3, (4 0 2); 66.18 deg, d = 1.412 Å, rel. 22.8, (4 2 2); 64.82 deg, d = 1.438 Å, rel. 21.2, (2 2 4); 43.40 deg, d = 2.085 Å, rel. 9.7, (2 0 3); 69.61 deg, d = 1.351 Å, rel. 8.6, (6 0 0); 46.52 deg, d = 1.952 Å, rel. 8.2, (4 0 1)

Crystal structure
a = 9.3573 Å, b = 9.3573 Å, c = 7.2950 Å
α = 90.00°, β = 90.00°, γ = 120.00°
Space group P6_3mc (No. 186)
Unique sites:
1 Li 0.1659 0.3317 0.0000 (multiplicity 6)
2 Li 0.3333 0.6667 0.3712 (multiplicity 2)
3 Ho 0.0000 0.0000 0.2137 (multiplicity 2)
4 Ho 0.0269 0.5134 0.7064 (multiplicity 6)
5 Sn 0.1669 0.3337 0.4423 (multiplicity 6)
6 Sn 0.3333 0.6667 0.9769 (multiplicity 2)

# 3
This entry pairs a crystal structure of LiLa2TiO6 with its theoretical X-ray diffraction stick pattern. Radiation: Cu Kα. Structure: DFT lattice parameters and positions (PBE).
Lines closer than 0.1° are merged.

Peak list (10 most intense, 2θ = 10–80°, by intensity)
32.00 deg, d = 2.797 Å, rel. 100.0, (1 1 -3); 22.29 deg, d = 3.989 Å, rel. 68.6, (1 1 -1); 31.84 deg, d = 2.810 Å, rel. 67.2, (1 1 1); 22.58 deg, d = 3.938 Å, rel. 38.7, (0 0 2); 45.48 deg, d = 1.995 Å, rel. 34.6, (2 2 -2); 39.11 deg, d = 2.304 Å, rel. 30.4, (0 2 2); 31.50 deg, d = 2.840 Å, rel. 28.2, (0 2 0); 52.31 deg, d = 1.749 Å, rel. 21.5, (1 3 0); 46.10 deg, d = 1.969 Å, rel. 21.4, (0 0 4); 56.92 deg, d = 1.618 Å, rel. 20.3, (2 0 2)

Crystal structure
a = 5.6035 Å, b = 5.6803 Å, c = 9.6297 Å
α = 90.00°, β = 125.13°, γ = 90.00°
Space group P2_1/c (No. 14)
Unique sites:
1 Li 0.0000 0.0000 0.0000 (multiplicity 2)
2 La 0.2366 0.0474 0.7480 (multiplicity 4)
3 Ti 0.5000 0.0000 0.5000 (multiplicity 2)
4 O 0.1728 0.1968 0.4535 (multiplicity 4)
5 O 0.2572 0.7180 0.4510 (multiplicity 4)
6 O 0.3498 0.0248 0.2598 (multiplicity 4)

# 4
This entry pairs a crystal structure of MgMnS2 with its theoretical X-ray diffraction stick pattern. Radiation: Cu Kα. Structure: DFT lattice parameters and positions (PBE).
Lines closer than 0.1° are merged.

Peak list (10 most intense, 2θ = 10–80°, by intensity)
37.17 deg, d = 2.419 Å, rel. 100.0, (2 0 1); 29.92 deg, d = 2.986 Å, rel. 63.4, (1 1 -1); 44.19 deg, d = 2.049 Å, rel. 49.7, (2 0 -3); 50.20 deg, d = 1.817 Å, rel. 49.0, (0 2 0); 14.06 deg, d = 6.300 Å, rel. 27.4, (0 0 1); 64.09 deg, d = 1.453 Å, rel. 17.6, (2 2 1); 56.82 deg, d = 1.620 Å, rel. 12.6, (1 1 3); 69.08 deg, d = 1.360 Å, rel. 11.8, (2 2 -3); 58.61 deg, d = 1.575 Å, rel. 10.2, (0 0 4); 59.55 deg, d = 1.553 Å, rel. 7.5, (4 0 -2)

Crystal structure
a = 6.2945 Å, b = 3.6354 Å, c = 6.6360 Å
α = 90.00°, β = 108.31°, γ = 90.00°
Space group Cm (No. 8)
Unique sites:
1 Mg 0.0000 0.0000 0.0000 (multiplicity 2)
2 Mn 0.3298 0.5000 0.4961 (multiplicity 2)
3 S 0.2438 0.0000 0.7368 (multiplicity 2)
4 S 0.4172 0.0000 0.2578 (multiplicity 2)

# 5
This entry pairs a crystal structure of BaIr2O6 with its theoretical X-ray diffraction stick pattern. Radiation: Cu Kα. Structure: DFT lattice parameters and positions (PBE).
Lines closer than 0.1° are merged.

Peak list (10 most intense, 2θ = 10–80°, by intensity)
29.67 deg, d = 3.011 Å, rel. 100.0, (3 -2 2); 13.14 deg, d = 6.740 Å, rel. 85.3, (1 1 0); 35.23 deg, d = 2.548 Å, rel. 60.6, (3 2 1); 22.85 deg, d = 3.892 Å, rel. 23.3, (3 0 0); 58.12 deg, d = 1.587 Å, rel. 21.7, (0 6 3); 18.64 deg, d = 4.761 Å, rel. 21.2, (0 2 1); 48.67 deg, d = 1.871 Å, rel. 20.0, (7 -3 1); 35.38 deg, d = 2.537 Å, rel. 15.7, (2 -1 3); 46.67 deg, d = 1.946 Å, rel. 15.4, (6 0 0); 48.91 deg, d = 1.862 Å, rel. 12.3, (2 1 4)

Crystal structure
a = 13.4932 Å, b = 13.4932 Å, c = 8.2150 Å
α = 90.00°, β = 90.00°, γ = 120.00°
Space group R3 (No. 146, hexagonal axes)
Unique sites:
1 Ba 0.2101 0.7868 0.0000 (multiplicity 9)
2 Ir 0.0558 0.4501 0.3224 (multiplicity 9)
3 Ir 0.1175 0.7274 0.4452 (multiplicity 9)
4 O 0.0163 0.3424 0.8399 (multiplicity 9)
5 O 0.0273 0.6918 0.2392 (multiplicity 9)
6 O 0.0857 0.8655 0.8005 (multiplicity 9)
7 O 0.0923 0.5476 0.1222 (multiplicity 9)
8 O 0.2023 0.4567 0.3146 (multiplicity 9)
9 O 0.2102 0.4215 0.6447 (multiplicity 9)

# 6
This entry pairs a crystal structure of LaGaO3 with its theoretical X-ray diffraction stick pattern. Radiation: Cu Kα. Structure: DFT lattice parameters and positions (PBE).
Lines closer than 0.1° are merged.

Peak list (10 most intense, 2θ = 10–80°, by intensity)
32.38 deg, d = 2.765 Å, rel. 100.0, (1 0 4); 31.99 deg, d = 2.798 Å, rel. 96.9, (1 1 0); 46.16 deg, d = 1.966 Å, rel. 57.5, (0 2 4); 57.27 deg, d = 1.609 Å, rel. 41.4, (2 1 4); 57.02 deg, d = 1.615 Å, rel. 23.9, (3 0 0); 58.01 deg, d = 1.590 Å, rel. 19.1, (0 1 8); 76.94 deg, d = 1.239 Å, rel. 17.2, (1 2 8); 67.80 deg, d = 1.382 Å, rel. 16.9, (2 0 8); 76.29 deg, d = 1.248 Å, rel. 16.0, (1 3 4); 66.89 deg, d = 1.399 Å, rel. 15.6, (2 2 0)

Crystal structure
a = 5.5954 Å, b = 5.5954 Å, c = 13.4645 Å
α = 90.00°, β = 90.00°, γ = 120.00°
Space group R3c (No. 161, hexagonal axes)
Unique sites:
1 La 0.0000 0.0000 0.0000 (multiplicity 6)
2 Ga 0.0000 0.0000 0.2482 (multiplicity 6)
3 O 0.0979 0.3352 0.3296 (multiplicity 18)